No. 1
Simulated powder XRD pattern
Compound: UFe2B2
Radiation: Cu Kα, 1.54184 Å
Structure: a cell relaxed with GGA-PBE
Kinematic intensities with the Lorentz-polarization factor, no thermal factor.

```
UFe2B2
1.0
4.803 -1.507 0.000
4.803 1.507 0.000
-0.954 0.000 3.857
U Fe B
1 2 2
Direct
0.000 0.000 0.000
0.347 0.347 0.420
0.653 0.653 0.580
0.264 0.264 0.879
0.736 0.736 0.121
```

Top 10 peaks for 10 to 90 degrees two-theta, low angle first:
d (Å), intensity
4.663, 69
3.857, 30
3.400, 48
2.869, 39
2.673, 61
2.388, 100
2.249, 50
2.224, 49
2.164, 87
1.371, 31

No. 2
Simulated powder XRD pattern
Compound: U2FeB10
Radiation: Cu Kα, 1.54184 Å
Structure: a cell relaxed with GGA-PBE
Kinematic intensities with the Lorentz-polarization factor, no thermal factor.

```
U2FeB10
1.0
5.498 0.000 0.000
0.000 10.989 0.000
0.000 0.000 4.095
U Fe B
4 2 20
Direct
0.200 0.134 0.000
0.300 0.634 0.000
0.700 0.366 0.000
0.800 0.866 0.000
0.000 0.500 0.500
0.500 0.000 0.500
0.032 0.313 0.500
0.127 0.962 0.500
0.150 0.802 0.500
0.202 0.387 0.198
0.202 0.387 0.802
0.298 0.887 0.198
0.298 0.887 0.802
0.350 0.302 0.500
0.373 0.462 0.500
0.468 0.813 0.500
0.532 0.187 0.500
0.627 0.538 0.500
0.650 0.698 0.500
0.702 0.113 0.198
0.702 0.113 0.802
0.798 0.613 0.198
0.798 0.613 0.802
0.850 0.198 0.500
0.873 0.038 0.500
0.968 0.687 0.500
```

Top 10 peaks for 10 to 90 degrees two-theta, low angle first:
d (Å), intensity
4.095, 40
3.887, 82
2.819, 100
2.748, 33
2.282, 69
2.048, 15
1.943, 18
1.812, 28
1.600, 21
1.325, 16

No. 3
Simulated powder XRD pattern
Compound: UFe5B3
Radiation: Cu Kα, 1.54184 Å
Structure: a cell relaxed with GGA-PBE
Kinematic intensities with the Lorentz-polarization factor, no thermal factor.

```
UFe5B3
1.0
1.619 -5.616 0.000
1.619 5.616 0.000
0.000 0.000 10.828
U Fe B
2 10 6
Direct
0.162 0.838 0.750
0.838 0.162 0.250
0.000 0.000 0.000
0.000 0.000 0.500
0.198 0.802 0.065
0.198 0.802 0.435
0.450 0.550 0.646
0.450 0.550 0.854
0.550 0.450 0.146
0.550 0.450 0.354
0.802 0.198 0.565
0.802 0.198 0.935
0.127 0.873 0.250
0.380 0.620 0.044
0.380 0.620 0.456
0.620 0.380 0.544
0.620 0.380 0.956
0.873 0.127 0.750
```

Top 10 peaks for 10 to 90 degrees two-theta, low angle first:
d (Å), intensity
4.986, 47
3.036, 92
2.990, 65
2.718, 46
2.493, 28
2.449, 74
2.356, 100
2.231, 65
2.216, 31
2.042, 58

No. 4
Simulated powder XRD pattern
Compound: UFe2B2
Radiation: Cu Kα, 1.54184 Å
Structure: a cell relaxed with GGA-PBE
Kinematic intensities with the Lorentz-polarization factor, no thermal factor.

```
UFe2B2
1.0
3.798 0.000 0.000
0.000 3.497 0.000
-0.222 0.000 8.288
U Fe B
2 4 4
Direct
0.246 0.250 0.257
0.754 0.750 0.743
0.247 0.750 0.493
0.350 0.250 0.898
0.650 0.750 0.102
0.753 0.250 0.507
0.146 0.750 0.006
0.260 0.250 0.631
0.740 0.750 0.369
0.854 0.250 0.994
```

Top 10 peaks for 10 to 90 degrees two-theta, low angle first:
d (Å), intensity
4.144, 35
3.487, 35
3.417, 54
3.222, 65
2.572, 52
2.263, 24
2.204, 97
2.168, 100
1.898, 23
1.748, 22

No. 5
Simulated powder XRD pattern
Compound: V2Fe21B6
Radiation: Cu Kα, 1.54184 Å
Structure: a cell relaxed with GGA-PBE
Kinematic intensities with the Lorentz-polarization factor, no thermal factor.

```
V2Fe21B6
1.0
0.000 5.287 5.287
5.287 0.000 5.287
5.287 5.287 0.000
V Fe B
2 21 6
Direct
0.250 0.250 0.250
0.750 0.750 0.750
0.000 0.000 0.000
0.000 0.000 0.342
0.000 0.000 0.658
0.000 0.342 0.000
0.000 0.342 0.658
0.000 0.658 0.000
0.000 0.658 0.342
0.143 0.619 0.619
0.342 0.000 0.000
0.342 0.000 0.658
0.342 0.658 0.000
0.381 0.381 0.381
0.381 0.381 0.857
0.381 0.857 0.381
0.619 0.143 0.619
0.619 0.619 0.143
0.619 0.619 0.619
0.658 0.000 0.000
0.658 0.000 0.342
0.658 0.342 0.000
0.857 0.381 0.381
0.275 0.275 0.725
0.275 0.725 0.275
0.275 0.725 0.725
0.725 0.275 0.275
0.725 0.275 0.725
0.725 0.725 0.275
```

Top 10 peaks for 10 to 90 degrees two-theta, low angle first:
d (Å), intensity
2.364, 19
2.158, 26
2.035, 100
1.869, 21
1.787, 27
1.762, 14
1.246, 20
1.221, 12
1.182, 6
1.161, 7

No. 6
Simulated powder XRD pattern
Compound: FeBW2
Radiation: Cu Kα, 1.54184 Å
Structure: a cell relaxed with GGA-PBE
Kinematic intensities with the Lorentz-polarization factor, no thermal factor.

```
FeBW2
1.0
4.169 -2.185 0.000
4.169 2.185 0.000
-2.422 0.000 5.729
Fe B W
2 2 4
Direct
0.200 0.800 0.750
0.800 0.200 0.250
0.284 0.716 0.250
0.716 0.284 0.750
0.284 0.324 0.901
0.324 0.284 0.401
0.676 0.716 0.599
0.716 0.676 0.099
```

Top 10 peaks for 10 to 90 degrees two-theta, low angle first:
d (Å), intensity
3.840, 46
3.799, 22
2.534, 100
2.209, 50
2.185, 20
2.129, 29
2.101, 29
1.994, 25
1.959, 23
1.899, 32

No. 7
Simulated powder XRD pattern
Compound: Fe22B6W
Radiation: Cu Kα, 1.54184 Å
Structure: a cell relaxed with GGA-PBE
Kinematic intensities with the Lorentz-polarization factor, no thermal factor.

```
Fe22B6W
1.0
0.000 5.296 5.296
5.296 0.000 5.296
5.296 5.296 0.000
Fe B W
22 6 1
Direct
0.000 0.000 0.000
0.000 0.000 0.342
0.000 0.000 0.657
0.000 0.342 0.000
0.000 0.342 0.657
0.000 0.657 0.000
0.000 0.657 0.342
0.142 0.619 0.619
0.342 0.000 0.000
0.342 0.000 0.657
0.342 0.657 0.000
0.383 0.383 0.383
0.383 0.383 0.850
0.383 0.850 0.383
0.619 0.142 0.619
0.619 0.619 0.142
0.619 0.619 0.619
0.657 0.000 0.000
0.657 0.000 0.342
0.657 0.342 0.000
0.750 0.750 0.750
0.850 0.383 0.383
0.275 0.275 0.725
0.275 0.725 0.275
0.275 0.725 0.725
0.725 0.275 0.275
0.725 0.275 0.725
0.725 0.725 0.275
0.250 0.250 0.250
```

Top 10 peaks for 10 to 90 degrees two-theta, low angle first:
d (Å), intensity
6.116, 16
2.369, 47
2.162, 51
2.039, 100
1.873, 32
1.791, 30
1.597, 15
1.285, 13
1.248, 30
1.223, 13

No. 8
Simulated powder XRD pattern
Compound: Fe4B2W
Radiation: Cu Kα, 1.54184 Å
Structure: a cell relaxed with GGA-PBE
Kinematic intensities with the Lorentz-polarization factor, no thermal factor.

```
Fe4B2W
1.0
1.675 -6.039 0.000
1.675 6.039 0.000
0.000 0.000 3.346
Fe B W
4 2 1
Direct
0.180 0.820 0.000
0.320 0.680 0.500
0.680 0.320 0.500
0.820 0.180 0.000
0.073 0.927 0.500
0.927 0.073 0.500
0.500 0.500 0.000
```

Top 10 peaks for 10 to 90 degrees two-theta, low angle first:
d (Å), intensity
3.346, 15
3.228, 29
2.927, 24
2.575, 18
2.242, 14
2.041, 100
2.013, 20
1.674, 28
1.287, 17
1.168, 11

No. 9
Simulated powder XRD pattern
Compound: Y3Fe3B8
Radiation: Cu Kα, 1.54184 Å
Structure: a cell relaxed with GGA-PBE
Kinematic intensities with the Lorentz-polarization factor, no thermal factor.

```
Y3Fe3B8
1.0
-1.589 4.014 6.349
1.589 -4.014 6.349
1.589 4.014 -6.349
Y Fe B
3 3 8
Direct
0.000 0.000 0.000
0.276 0.276 0.000
0.724 0.724 0.000
0.295 0.500 0.795
0.500 0.000 0.500
0.705 0.500 0.205
0.048 0.364 0.684
0.147 0.880 0.267
0.321 0.636 0.684
0.387 0.120 0.267
0.613 0.880 0.733
0.679 0.364 0.316
0.853 0.120 0.733
0.952 0.636 0.316
```

Top 10 peaks for 10 to 90 degrees two-theta, low angle first:
d (Å), intensity
6.349, 33
4.014, 35
3.175, 80
2.955, 58
2.490, 41
2.445, 58
2.163, 45
2.147, 100
1.948, 35
1.467, 43

No. 10
Simulated powder XRD pattern
Compound: YFeB14
Radiation: Cu Kα, 1.54184 Å
Structure: a cell relaxed with GGA-PBE
Kinematic intensities with the Lorentz-polarization factor, no thermal factor.

```
YFeB14
1.0
-2.920 5.293 4.132
2.920 -5.293 4.132
2.920 5.293 -4.132
Y Fe B
2 2 28
Direct
0.382 0.132 0.250
0.618 0.868 0.750
0.000 0.000 0.500
0.000 0.500 0.000
0.005 0.870 0.136
0.033 0.205 0.332
0.033 0.701 0.828
0.080 0.669 0.412
0.201 0.534 0.667
0.221 0.501 0.399
0.221 0.822 0.721
0.234 0.870 0.364
0.243 0.331 0.912
0.368 0.534 0.833
0.373 0.205 0.672
0.373 0.701 0.168
0.399 0.178 0.899
0.399 0.499 0.221
0.601 0.501 0.779
0.601 0.822 0.101
0.627 0.299 0.832
0.627 0.795 0.328
0.632 0.466 0.167
0.757 0.669 0.088
0.766 0.130 0.636
0.779 0.178 0.279
0.779 0.499 0.601
0.799 0.466 0.333
0.920 0.331 0.588
0.967 0.299 0.172
0.967 0.795 0.668
0.995 0.130 0.864
```

Top 10 peaks for 10 to 90 degrees two-theta, low angle first:
d (Å), intensity
5.293, 76
3.543, 48
3.214, 45
2.665, 92
2.438, 38
2.254, 30
2.171, 100
1.687, 16
1.679, 25
1.607, 21

No. 11
Simulated powder XRD pattern
Compound: Y4Fe3B6
Radiation: Cu Kα, 1.54184 Å
Structure: a cell relaxed with GGA-PBE
Kinematic intensities with the Lorentz-polarization factor, no thermal factor.

```
Y4Fe3B6
1.0
2.668 1.540 7.299
-2.668 1.540 7.299
0.000 -3.080 7.299
Y Fe B
4 3 6
Direct
0.088 0.088 0.088
0.244 0.244 0.244
0.756 0.756 0.756
0.912 0.912 0.912
0.387 0.387 0.387
0.500 0.500 0.500
0.613 0.613 0.613
0.000 0.333 0.667
0.000 0.667 0.333
0.333 0.000 0.667
0.333 0.667 0.000
0.667 0.000 0.333
0.667 0.333 0.000
```

Top 10 peaks for 10 to 90 degrees two-theta, low angle first:
d (Å), intensity
3.649, 25
2.668, 100
2.590, 26
2.355, 20
2.154, 54
1.540, 22
1.525, 9
1.506, 11
1.419, 9
1.334, 11